[1]
Starting from DFT lattice parameters and positions (PBE), the X-ray powder pattern of NbPd2Pt was computed for Cu Kα.

Top 12 peaks for 10° ≤ 2θ ≤ 80°, by angle:
| Position (°2θ) | d [Å] | I (rel.) |
| --- | --- | --- |
| 24.07 | 3.697 | 8 |
| 25.13 | 3.544 | 10 |
| 37.13 | 2.421 | 34 |
| 39.12 | 2.303 | 46 |
| 41.37 | 2.183 | 68 |
| 42.17 | 2.143 | 100 |
| 55.04 | 1.668 | 22 |
| 65.78 | 1.420 | 18 |
| 67.52 | 1.387 | 9 |
| 72.42 | 1.305 | 13 |
| 72.98 | 1.296 | 19 |
| 79.27 | 1.208 | 22 |

Crystal structure
abc: 4.6051 5.5489 4.9575
angles: 90.00 90.00 90.00
Positions (direct):
1 Nb 0.2500 0.2500 0.1490
2 Nb 0.7500 0.7500 0.8510
3 Pd 0.2500 0.9997 0.6570
4 Pd 0.2500 0.5003 0.6570
5 Pd 0.7500 0.0003 0.3430
6 Pd 0.7500 0.4997 0.3430
7 Pt 0.2500 0.7500 0.1533
8 Pt 0.7500 0.2500 0.8467

[2]
Starting from DFT lattice parameters and positions (PBE), the X-ray powder pattern of LaYPd4 was computed for Cu Kα.

Top 12 peaks for 10° ≤ 2θ ≤ 80°, by angle:
| Position (°2θ) | d [Å] | I (rel.) |
| --- | --- | --- |
| 29.18 | 3.061 | 12 |
| 30.91 | 2.893 | 20 |
| 37.28 | 2.412 | 100 |
| 38.35 | 2.347 | 85 |
| 41.12 | 2.195 | 57 |
| 42.34 | 2.134 | 35 |
| 48.14 | 1.890 | 12 |
| 60.50 | 1.530 | 36 |
| 73.77 | 1.284 | 24 |
| 74.11 | 1.279 | 13 |
| 74.78 | 1.269 | 13 |
| 76.12 | 1.251 | 21 |

Crystal structure
abc: 10.0638 10.0638 5.9112
angles: 90.00 90.00 155.51
Positions (direct):
1 La 0.0800 0.9200 0.7500
2 La 0.9200 0.0800 0.2500
3 Y 0.2253 0.7747 0.2500
4 Y 0.7747 0.2253 0.7500
5 Pd 0.0750 0.9250 0.2500
6 Pd 0.3508 0.6492 0.5171
7 Pd 0.3508 0.6492 0.9829
8 Pd 0.5000 0.5000 0.0000
9 Pd 0.5000 0.5000 0.5000
10 Pd 0.6492 0.3508 0.0171
11 Pd 0.6492 0.3508 0.4829
12 Pd 0.9250 0.0750 0.7500

[3]
Starting from DFT lattice parameters and positions (PBE), the X-ray powder pattern of Li3Tl4Ga was computed for Cu Kα.

Top 12 peaks for 10° ≤ 2θ ≤ 80°, by angle:
| Position (°2θ) | d [Å] | I (rel.) |
| --- | --- | --- |
| 24.87 | 3.580 | 40 |
| 25.23 | 3.530 | 77 |
| 35.72 | 2.514 | 100 |
| 35.98 | 2.496 | 49 |
| 44.24 | 2.047 | 36 |
| 51.80 | 1.765 | 18 |
| 57.75 | 1.596 | 16 |
| 58.29 | 1.583 | 16 |
| 58.46 | 1.579 | 16 |
| 64.01 | 1.455 | 19 |
| 64.51 | 1.444 | 37 |
| 75.67 | 1.257 | 12 |

Crystal structure
abc: 4.9921 4.9921 7.1600
angles: 90.00 90.00 90.00
Positions (direct):
1 Li 0.0000 0.0000 0.0000
2 Li 0.0000 0.0000 0.5000
3 Li 0.5000 0.5000 0.0000
4 Tl 0.0000 0.5000 0.2472
5 Tl 0.0000 0.5000 0.7528
6 Tl 0.5000 0.0000 0.2472
7 Tl 0.5000 0.0000 0.7528
8 Ga 0.5000 0.5000 0.5000